Entry 1:
For Ta5Ni8, a GGA-PBE-relaxed structure gives the calculated XRD peak list in this record (copper Kα).
Neutral-atom scattering factors, no anomalous dispersion.

```
Ta5Ni8
1.0
2.4110 1.3920 8.6755
-2.4110 1.3920 8.6755
0.0000 -2.7840 8.6755
Ta Ni
5 8
Cartesian
0.0000 0.0000 0.0000
0.0000 0.0000 4.2715
0.0000 0.0000 9.3240
0.0000 0.0000 16.7024
0.0000 0.0000 21.7549
0.0000 -1.3635 6.6053
-1.1808 0.6817 6.6053
-1.1808 -0.6817 19.4211
0.0000 0.0000 11.8175
0.0000 0.0000 14.2089
1.1808 0.6817 6.6053
1.1808 -0.6817 19.4211
0.0000 1.3635 19.4211
```

Peak list (10 most intense, 10° ≤ 2θ ≤ 90°, sorted by position)
two_theta  I (rel.)
20.5  16
27.4  19
37.3  81
40.9  27
42.9  100
44.0  53
46.9  31
71.1  22
71.9  23
79.5  22

---

Entry 2:
For TmLuIr, a GGA-PBE-relaxed structure gives the calculated XRD peak list in this record (copper Kα).
Neutral-atom scattering factors, no anomalous dispersion.

```
TmLuIr
1.0
7.1371 0.0000 0.0000
0.0000 4.4736 0.0000
0.0000 0.0000 8.6757
Tm Lu Ir
4 4 4
Cartesian
0.0733 1.1184 1.4127
3.4953 3.3552 5.7506
3.6418 1.1184 2.9251
7.0638 3.3552 7.2630
1.0141 1.1184 5.0127
2.5545 3.3552 0.6748
4.5826 1.1184 8.0009
6.1230 3.3552 3.6630
1.7483 1.1184 7.8374
1.8202 3.3552 3.4995
5.3169 1.1184 5.1762
5.3887 3.3552 0.8384
```

Peak list (10 most intense, 10° ≤ 2θ ≤ 90°, sorted by position)
two_theta  I (rel.)
31.3  93
32.1  33
33.4  23
33.7  100
37.0  64
39.3  25
40.3  61
43.4  26
44.4  28
45.2  34

---

Entry 3:
For Rb2NaCoC6N6, a GGA-PBE-relaxed structure gives the calculated XRD peak list in this record (copper Kα).
Neutral-atom scattering factors, no anomalous dispersion.

```
Rb2NaCoC6N6
1.0
7.1593 0.0000 0.0000
0.0000 7.6099 0.0000
-7.0778 0.0000 10.3891
Rb Na Co C N
4 2 2 12 12
Cartesian
-0.1334 0.5279 2.5947
-3.6723 3.2770 7.7892
3.7537 4.3329 2.5998
0.2148 7.0819 7.7944
-3.5389 0.0000 5.1945
0.0000 3.8049 0.0000
3.5796 0.0000 0.0000
0.0407 3.8049 5.1945
-5.0297 1.0151 10.0687
-1.4908 2.7898 4.8742
-0.9050 5.3651 4.8040
-4.4439 6.0497 9.9985
-3.0158 0.1411 8.5954
0.5231 3.6638 3.4008
-0.4417 3.9460 6.9882
3.0972 7.4688 1.7937
4.5253 1.5602 0.3906
0.9864 2.2448 5.5851
1.5722 4.8201 5.5149
5.1112 6.5947 0.3203
-5.9926 1.6523 9.8495
-2.4537 2.1526 4.6550
-5.0448 5.0724 9.7424
-1.5059 6.3424 4.5478
-2.7084 0.2551 7.4672
0.8305 3.5498 2.2726
-0.7491 4.0601 8.1165
2.7898 7.3547 2.9219
1.5873 1.2675 5.8413
5.1262 2.5374 0.6467
2.5351 5.4572 5.7341
6.0740 5.9576 0.5396
```

Peak list (10 most intense, 10° ≤ 2θ ≤ 90°, sorted by position)
two_theta  I (rel.)
19.0  37
23.4  41
24.1  100
24.3  99
24.9  67
28.8  30
34.4  49
34.5  41
35.5  30
43.2  39

---

Entry 4:
For La4Pr4Se3, a GGA-PBE-relaxed structure gives the calculated XRD peak list in this record (copper Kα).
Neutral-atom scattering factors, no anomalous dispersion.

```
La4Pr4Se3
1.0
10.4219 0.0000 0.0000
0.0000 1.8490 8.9789
0.0000 -1.8490 8.9789
La Pr Se
4 4 3
Cartesian
0.0000 0.0000 0.0000
2.4726 0.0000 2.7264
5.2109 0.0000 0.1519
7.9493 0.0000 2.7264
0.0000 0.0000 5.3208
2.7977 0.0000 15.4639
5.2109 0.0000 4.7344
7.6241 0.0000 15.4639
0.0000 0.0000 11.6661
2.7008 0.0000 9.1378
7.7211 0.0000 9.1378
```

Peak list (10 most intense, 10° ≤ 2θ ≤ 90°, sorted by position)
two_theta  I (rel.)
24.6  14
26.2  38
29.9  14
33.3  100
34.4  29
42.9  11
49.3  11
60.9  15
61.5  13
65.0  12

---

Entry 5:
For NbGaO4, a GGA-PBE-relaxed structure gives the calculated XRD peak list in this record (copper Kα).
Neutral-atom scattering factors, no anomalous dispersion.

```
NbGaO4
1.0
5.0309 0.0000 0.0000
-2.5154 4.3568 0.0000
0.0000 0.0000 11.6570
Nb Ga O
3 3 12
Cartesian
-1.0569 1.8305 1.9428
2.1137 0.0000 9.7142
1.4586 2.5263 5.8285
-1.0563 1.8296 7.7713
2.1127 0.0000 3.8857
1.4591 2.5272 0.0000
-1.4572 2.8933 9.2350
-1.4337 2.9259 3.4193
0.6984 1.6522 7.3050
0.7384 1.6482 1.4637
1.0582 1.4635 10.1933
1.0817 1.4309 4.3520
0.7354 4.1355 11.1906
0.7188 4.1722 5.3494
3.2343 0.1847 2.4220
3.2508 0.2213 8.2377
3.2138 2.7046 0.4663
3.2538 2.7086 6.3076
```

Peak list (10 most intense, 10° ≤ 2θ ≤ 90°, sorted by position)
two_theta  I (rel.)
20.4  14
25.5  100
35.7  17
37.1  27
39.0  12
41.5  14
52.4  11
58.2  15
60.2  9
65.1  13

---

Entry 6:
For Ba4Li2Cd3As6, a GGA-PBE-relaxed structure gives the calculated XRD peak list in this record (copper Kα).
Neutral-atom scattering factors, no anomalous dispersion.

```
Ba4Li2Cd3As6
1.0
2.3197 -10.2527 0.0000
2.3197 10.2527 0.0000
0.0000 0.0000 17.2241
Ba Li Cd As
8 4 6 12
Cartesian
2.3197 9.9108 10.7084
2.3197 9.9108 15.1277
2.3197 6.7022 1.2049
2.3197 6.7022 7.4071
2.3197 -6.7022 9.8169
2.3197 -6.7022 16.0192
2.3197 -9.9108 2.0964
2.3197 -9.9108 6.5156
2.3197 7.1849 12.9180
2.3197 1.3094 12.9180
2.3197 -1.3094 4.3060
2.3197 -7.1849 4.3060
2.3197 4.1719 12.9180
2.3197 3.0522 2.1210
2.3197 3.0522 6.4911
2.3197 -3.0522 10.7330
2.3197 -3.0522 15.1031
2.3197 -4.1719 4.3060
2.3197 7.8128 4.3060
2.3197 5.7493 10.6330
2.3197 5.7493 15.2031
2.3197 1.3864 4.3060
2.3197 1.2443 8.8504
2.3197 1.2443 16.9857
2.3197 -1.2443 0.2384
2.3197 -1.2443 8.3736
2.3197 -1.3864 12.9180
2.3197 -5.7493 2.0210
2.3197 -5.7493 6.5910
2.3197 -7.8128 12.9180
```

Peak list (10 most intense, 10° ≤ 2θ ≤ 90°, sorted by position)
two_theta  I (rel.)
23.7  48
27.3  65
28.6  57
29.1  43
29.5  64
31.2  71
33.1  100
35.9  56
38.8  87
42.1  41

---

Entry 7:
For Ba2NbCu, a GGA-PBE-relaxed structure gives the calculated XRD peak list in this record (copper Kα).
Neutral-atom scattering factors, no anomalous dispersion.

```
Ba2NbCu
1.0
7.7615 0.0000 0.0000
0.0000 7.7615 0.0000
0.0000 0.0000 7.7615
Ba Nb Cu
8 4 4
Cartesian
0.0000 0.0000 0.0000
0.0000 3.8807 3.8807
1.9404 1.9404 1.9404
1.9404 5.8211 5.8211
3.8807 0.0000 3.8807
3.8807 3.8807 0.0000
5.8211 1.9404 5.8211
5.8211 5.8211 1.9404
1.9404 1.9404 5.8211
1.9404 5.8211 1.9404
5.8211 1.9404 1.9404
5.8211 5.8211 5.8211
0.0000 0.0000 3.8807
0.0000 3.8807 0.0000
3.8807 0.0000 0.0000
3.8807 3.8807 3.8807
```

Peak list (10 most intense, 10° ≤ 2θ ≤ 90°, sorted by position)
two_theta  I (rel.)
19.8  6
32.6  100
38.5  4
46.8  18
51.3  2
58.2  37
68.4  11
72.0  1
77.8  16
87.0  4

---

Entry 8:
For TmSiH2O4, a GGA-PBE-relaxed structure gives the calculated XRD peak list in this record (copper Kα).
Neutral-atom scattering factors, no anomalous dispersion.

```
TmSiH2O4
1.0
4.7523 0.0000 0.0000
0.0000 6.5454 0.0000
-1.6248 0.0000 5.3386
Tm Si H O
2 2 4 8
Cartesian
4.5119 1.6364 0.7887
-1.3844 4.9091 4.5499
0.1627 1.6364 3.7917
2.9647 4.9091 1.5469
0.8427 4.9091 2.6761
2.3762 0.0000 0.0000
2.3762 3.2727 0.0000
2.2847 1.6364 2.6625
-0.4878 4.9091 2.5856
-0.3139 0.3286 4.8478
-0.3139 2.9441 4.8478
1.2231 1.6364 2.4489
1.9043 4.9091 2.8896
3.4414 3.6013 0.4908
3.4414 6.2168 0.4908
3.6153 1.6364 2.7530
```

Peak list (10 most intense, 10° ≤ 2θ ≤ 90°, sorted by position)
two_theta  I (rel.)
16.6  42
19.5  100
21.5  63
25.6  69
27.2  71
29.3  30
32.4  40
33.7  53
36.4  98
54.3  39

---

Entry 9:
For Nd2GdCd3Ag3, a GGA-PBE-relaxed structure gives the calculated XRD peak list in this record (copper Kα).
Neutral-atom scattering factors, no anomalous dispersion.

```
Nd2GdCd3Ag3
1.0
4.0012 0.0000 0.0000
0.0000 6.8885 3.9875
0.0000 -6.8885 3.9875
Nd Gd Cd Ag
2 1 3 3
Cartesian
0.0000 -4.0938 3.9875
0.0000 4.0938 3.9875
0.0000 0.0000 3.1204
2.0006 0.0000 0.4655
2.0006 -1.7757 5.3127
2.0006 1.7757 5.3127
0.0000 0.0000 6.3425
2.0006 -2.2628 2.3807
2.0006 2.2628 2.3807
```

Peak list (10 most intense, 10° ≤ 2θ ≤ 90°, sorted by position)
two_theta  I (rel.)
31.7  83
34.3  100
34.4  12
39.2  35
41.3  20
45.3  20
53.0  10
58.1  17
61.4  18
63.2  18

---

Entry 10:
For DyHo2Ge4Pd4, a GGA-PBE-relaxed structure gives the calculated XRD peak list in this record (copper Kα).
Neutral-atom scattering factors, no anomalous dispersion.

```
DyHo2Ge4Pd4
1.0
-2.0876 3.5509 6.9906
2.0876 -3.5509 6.9906
2.0876 3.5509 -6.9906
Dy Ho Ge Pd
1 2 4 4
Cartesian
0.0000 0.0000 0.0000
2.0876 0.0000 5.2296
0.0000 3.5509 1.7611
0.0000 0.0000 3.0477
2.0876 2.2159 0.0000
0.0000 1.3349 6.9906
0.0000 0.0000 10.9336
2.0876 1.4277 -2.4472
2.0876 1.4277 2.4472
0.0000 2.1232 4.5434
0.0000 2.1232 9.4379
```

Peak list (10 most intense, 10° ≤ 2θ ≤ 90°, sorted by position)
two_theta  I (rel.)
33.8  100
34.5  30
35.8  85
38.5  24
38.6  17
42.8  34
43.3  39
51.5  18
62.6  22
75.8  24

---

Entry 11:
For Sr3Au2, a GGA-PBE-relaxed structure gives the calculated XRD peak list in this record (copper Kα).
Neutral-atom scattering factors, no anomalous dispersion.

```
Sr3Au2
1.0
8.5028 0.0000 0.0000
0.0000 8.5028 0.0000
0.0000 0.0000 4.4696
Sr Au
6 4
Cartesian
0.0000 0.0000 0.0000
1.3437 2.9077 2.2348
2.9077 7.1591 2.2348
4.2514 4.2514 0.0000
5.5951 1.3437 2.2348
7.1591 5.5951 2.2348
1.1571 5.4085 0.0000
3.0944 1.1571 0.0000
5.4085 7.3458 0.0000
7.3458 3.0944 0.0000
```

Peak list (10 most intense, 10° ≤ 2θ ≤ 90°, sorted by position)
two_theta  I (rel.)
14.7  13
19.9  18
23.4  13
30.9  100
33.3  36
39.1  13
40.4  14
43.4  12
53.3  19
62.4  20

---

Entry 12:
For PrNdCu2Bi4, a GGA-PBE-relaxed structure gives the calculated XRD peak list in this record (copper Kα).
Neutral-atom scattering factors, no anomalous dispersion.

```
PrNdCu2Bi4
1.0
4.5801 0.0000 0.0000
0.0000 4.5801 0.0000
0.0000 0.0000 9.9387
Pr Nd Cu Bi
1 1 2 4
Cartesian
0.0000 0.0000 0.0000
2.2901 2.2901 4.7191
0.0000 2.2901 2.3714
2.2901 0.0000 2.3714
0.0000 0.0000 3.9482
0.0000 2.2901 7.3195
2.2901 0.0000 7.3195
2.2901 2.2901 0.7923
```

Peak list (10 most intense, 10° ≤ 2θ ≤ 90°, sorted by position)
two_theta  I (rel.)
26.5  19
26.9  23
29.0  37
33.0  100
39.3  48
48.3  20
50.0  14
56.9  17
65.4  12
67.3  26

---

What did the twelfth record say?
For PrNdCu2Bi4, a GGA-PBE-relaxed structure gives the calculated XRD peak list in this record (copper Kα).
Neutral-atom scattering factors, no anomalous dispersion.

```
PrNdCu2Bi4
1.0
4.5801 0.0000 0.0000
0.0000 4.5801 0.0000
0.0000 0.0000 9.9387
Pr Nd Cu Bi
1 1 2 4
Cartesian
0.0000 0.0000 0.0000
2.2901 2.2901 4.7191
0.0000 2.2901 2.3714
2.2901 0.0000 2.3714
0.0000 0.0000 3.9482
0.0000 2.2901 7.3195
2.2901 0.0000 7.3195
2.2901 2.2901 0.7923
```

Peak list (10 most intense, 10° ≤ 2θ ≤ 90°, sorted by position)
two_theta  I (rel.)
26.5  19
26.9  23
29.0  37
33.0  100
39.3  48
48.3  20
50.0  14
56.9  17
65.4  12
67.3  26